Structure and simulated X-ray powder pattern of Sm4AlBr5 (a structure optimized by DFT (GGA-PBE); CuKα).
Peak positions follow from Bragg's law for the DFT cell and can differ from measured ones.

Cell and atoms:
```
data_Sm4AlBr5
_cell_length_a 9.6278
_cell_length_b 9.6278
_cell_length_c 8.7686
_cell_angle_alpha 102.65
_cell_angle_beta 102.65
_cell_angle_gamma 24.49
_symmetry_space_group_name_H-M 'P 1'
_symmetry_Int_Tables_number 1
_symmetry_space_group_name_Hall 'P 1'
loop_
_atom_site_label
_atom_site_fract_x
_atom_site_fract_y
_atom_site_fract_z
Sm1 0.0007 0.0007 0.2355
Sm2 0.3459 0.3459 0.9176
Sm3 0.6541 0.6541 0.0824
Sm4 0.9993 0.9993 0.7645
Al1 0.5000 0.5000 0.0000
Br1 0.1670 0.1670 0.3297
Br2 0.1724 0.1724 0.8420
Br3 0.5000 0.5000 0.5000
Br4 0.8276 0.8276 0.1580
Br5 0.8330 0.8330 0.6703
```

Most intense lines, 10° ≤ 2θ ≤ 90°, low angle first:
2θ = 10.4°, d = 8.546 Å, I 325; 2θ = 15.7°, d = 5.652 Å, I 177; 2θ = 29.2°, d = 3.056 Å, I 500; 2θ = 29.9°, d = 2.988 Å, I 1000; 2θ = 41.2°, d = 2.192 Å, I 200; 2θ = 42.2°, d = 2.143 Å, I 367; 2θ = 42.4°, d = 2.130 Å, I 353; 2θ = 54.0°, d = 1.698 Å, I 185